Computed XRD peak list of Sc2PaVO8 for Cu Kα, from a structure optimized by DFT (GGA+U).
Neutral-atom scattering factors, no anomalous dispersion.

Cell and atoms:
a b c (Å): 4.803 4.803 6.494
angles (deg): 90.00 90.00 90.88
Sites, in units of the cell vectors:
Sc 0.000 0.000 0.236
Sc 0.000 0.000 0.764
Pa 0.500 0.500 0.500
V 0.500 0.500 0.000
O 0.189 0.189 0.500
O 0.216 0.216 0.000
O 0.312 0.688 0.221
O 0.312 0.688 0.779
O 0.688 0.312 0.221
O 0.688 0.312 0.779
O 0.784 0.784 0.000
O 0.811 0.811 0.500

Largest 10 diffraction maxima, sorted by position, 2θ from 10° to 90°:
Position (°2θ)  I_rel
13.64  434
18.47  733
23.03  706
26.04  693
26.45  640
33.31  1000
38.21  296
50.75  459
51.21  424
64.95  273